Computed XRD peak list
Compound: FeS5Cl
Radiation: Cu Kα X-rays
Structure: DFT lattice parameters and positions (GGA-PBE)

Principal peaks in the range 2θ from 15° to 90°, low angle first:
17.10 deg, I = 100, hkl 1 1 0
20.07 deg, I = 15, hkl 0 0 1
22.20 deg, I = 99, hkl 0 4 0
22.97 deg, I = 29, hkl 0 2 1
28.48 deg, I = 25, hkl 1 3 -1
29.06 deg, I = 15, hkl 1 1 1
32.67 deg, I = 19, hkl 2 0 0
34.59 deg, I = 18, hkl 2 2 0
40.98 deg, I = 25, hkl 1 1 -2
42.37 deg, I = 22, hkl 2 0 1
46.08 deg, I = 16, hkl 1 7 -1
49.96 deg, I = 14, hkl 1 5 -2

Cell and atoms:
```
FeS5Cl
1.0
5.612 0.000 0.000
0.000 16.015 0.000
-0.970 0.000 4.424
Fe S Cl
2 10 2
Direct
0.000 0.000 0.000
0.500 0.500 0.000
0.000 0.141 0.000
0.098 0.466 0.841
0.126 0.223 0.697
0.374 0.723 0.303
0.402 0.966 0.159
0.500 0.641 0.000
0.598 0.966 0.841
0.626 0.723 0.697
0.874 0.223 0.303
0.902 0.466 0.159
0.000 0.959 0.500
0.500 0.459 0.500
```